Diffraction record for InTe3Mo3. The X-ray powder pattern is computed, not measured: it uses a DFT-relaxed cell (GGA-PBE, the Materials Project) and CuKα.

Atomic structure:
Cell lengths 9.6031, 9.6031, 4.6223 Å; angles 90.00, 90.00, 120.00 degrees
Space group P6_3/m (No. 176)
One atom of each set of equivalent atoms:
In  0.3333  0.6667  0.2500
Te  0.0619  0.3706  0.7500
Mo  0.0303  0.1748  0.2500

Principal peaks in the range 2θ = 10–90°, in order of falling intensity:
2θ/deg	d_spacing	I/Imax	(hkl)
10.64	8.317	1000	1 0 0
34.51	2.599	979	2 1 1
39.00	2.309	815	0 0 2
42.43	2.131	665	2 2 1
26.77	3.330	655	1 1 1
28.39	3.143	488	2 1 0
43.87	2.064	427	3 1 1
51.84	1.764	397	3 2 1
28.88	3.091	357	2 0 1
32.29	2.772	304	3 0 0

Diffraction record for NaInN. The X-ray powder pattern is computed, not measured: it uses a DFT-relaxed cell (GGA-PBE, the Materials Project) and CuKα.

Atomic structure:
Cell lengths 3.5098, 6.0891, 10.8802 Å; angles 90.00, 90.00, 90.00 degrees
Space group Cmc2_1 (No. 36)
One atom of each set of equivalent atoms:
Na  0.0000  0.1671  0.0000
In  0.0000  0.4988  0.7732
N  0.0000  0.1685  0.3551

Principal peaks in the range 2θ = 10–90°, in order of falling intensity:
2θ/deg	d_spacing	I/Imax	(hkl)
33.76	2.655	1000	1 1 2
16.29	5.440	675	0 0 2
29.36	3.042	436	1 1 0
44.69	2.028	344	1 1 4
52.07	1.756	208	2 0 0
59.33	1.558	202	0 2 6
32.93	2.720	194	0 0 4
63.00	1.475	171	2 0 4
54.94	1.671	156	2 0 2
63.51	1.465	152	2 2 2

Diffraction record for Nb3InN6. The X-ray powder pattern is computed, not measured: it uses a DFT-relaxed cell (GGA-PBE, the Materials Project) and CuKα.

Atomic structure:
Cell lengths 5.1473, 5.5262, 10.0393 Å; angles 90.00, 120.79, 90.00 degrees
Space group P2_1/c (No. 14)
One atom of each set of equivalent atoms:
Nb  0.0000  0.0000  0.0000
Nb  0.2919  0.0414  0.7574
In  0.5000  0.0000  0.5000
N  0.0374  0.0923  0.2226
N  0.2839  0.7010  0.1058
N  0.3922  0.1882  0.0846

Principal peaks in the range 2θ = 10–90°, in order of falling intensity:
2θ/deg	d_spacing	I/Imax	(hkl)
31.54	2.837	1000	1 1 1
32.40	2.763	193	0 2 0
57.25	1.609	152	1 3 -3
53.94	1.700	151	0 2 4
48.33	1.883	148	2 2 -2
60.44	1.532	147	3 1 -5
34.86	2.574	143	2 0 -2
41.90	2.156	115	0 0 4
55.61	1.653	102	2 0 -6
70.07	1.343	97	1 1 -7

Diffraction record for InS2NO8. The X-ray powder pattern is computed, not measured: it uses a DFT-relaxed cell (GGA-PBE, the Materials Project) and CuKα.

Atomic structure:
Cell lengths 4.9615, 4.9615, 25.3584 Å; angles 90.00, 90.00, 120.00 degrees
Space group R32 (No. 155, hexagonal axes)
One atom of each set of equivalent atoms:
In  0.0000  0.0000  0.0000
S  0.0000  0.0000  0.2598
N  0.0000  0.0000  0.5000
O  0.0000  0.0000  0.2022
O  0.0216  0.2937  0.7196

Principal peaks in the range 2θ = 10–90°, in order of falling intensity:
2θ/deg	d_spacing	I/Imax	(hkl)
25.04	3.557	1000	1 0 4
10.47	8.453	966	0 0 3
20.97	4.236	353	1 0 1
36.21	2.481	285	1 1 0
44.56	2.033	218	0 2 4
35.18	2.551	194	0 1 8
58.70	1.573	156	2 1 4
27.20	3.278	141	0 1 5
32.32	2.770	138	1 0 7
42.23	2.140	134	1 1 6

Diffraction record for In2Pb3N4. The X-ray powder pattern is computed, not measured: it uses a DFT-relaxed cell (GGA-PBE, the Materials Project) and CuKα.

Atomic structure:
Cell lengths 11.0793, 9.7907, 6.9927 Å; angles 90.00, 100.03, 90.00 degrees
Space group C2/c (No. 15)
One atom of each set of equivalent atoms:
In  0.2278  0.0928  0.4536
Pb  0.0000  0.0866  0.7500
Pb  0.0973  0.3008  0.0889
N  0.1145  0.2876  0.4238
N  0.1452  0.0546  0.1387

Principal peaks in the range 2θ = 10–90°, in order of falling intensity:
2θ/deg	d_spacing	I/Imax	(hkl)
27.23	3.275	1000	3 1 -1
32.02	2.795	666	1 3 1
29.03	3.076	632	2 2 1
33.67	2.662	357	2 2 -2
33.10	2.707	348	2 0 2
27.33	3.263	339	1 1 -2
39.78	2.266	336	1 1 -3
37.77	2.382	286	4 2 0
50.30	1.814	281	4 4 -1
22.28	3.990	254	0 2 1